(1)
Diffraction record for CaLaDy14. The powder diffractogram is calculated, not measured: it uses a crystal structure in Alexandria, relaxed with GGA-PBE and Cu Kα.
Kinematic intensities with the Lorentz-polarization factor, no thermal factor.

The 6 most intense peaks (15° ≤ 2θ ≤ 90°), by angle:
| two_theta | I/Imax |
| --- | --- |
| 28.30 | 24 |
| 31.48 | 24 |
| 32.47 | 100 |
| 50.10 | 20 |
| 56.68 | 20 |
| 60.38 | 22 |

Structural model:
```
CaLaDy14
1.0
11.368 0.000 0.000
0.000 3.638 6.314
0.000 -3.638 6.314
Ca La Dy
1 1 14
Cartesian
0.000 0.000 0.000
0.000 0.000 6.295
0.000 -1.805 3.154
0.000 1.805 3.154
2.850 0.000 4.203
2.885 0.000 10.497
2.911 -1.803 7.383
2.911 1.803 7.383
5.684 0.000 0.001
5.684 -1.818 3.157
5.684 1.818 3.157
5.684 0.000 6.323
8.457 -1.803 7.383
8.457 1.803 7.383
8.483 0.000 10.497
8.518 0.000 4.203
```

(2)
Diffraction record for CaLaDyLu. The powder diffractogram is calculated, not measured: it uses a crystal structure in Alexandria, relaxed with GGA-PBE and Cu Kα.
Kinematic intensities with the Lorentz-polarization factor, no thermal factor.

The 6 most intense peaks (15° ≤ 2θ ≤ 90°), by angle:
| two_theta | I/Imax |
| --- | --- |
| 18.75 | 14 |
| 30.85 | 100 |
| 44.19 | 19 |
| 54.86 | 39 |
| 72.99 | 17 |
| 89.45 | 20 |

Structural model:
```
CaLaDyLu
1.0
8.198 0.000 0.000
0.000 8.198 0.000
0.000 0.000 8.198
Ca La Dy Lu
4 4 4 4
Cartesian
0.000 0.000 0.000
0.000 4.099 4.099
4.099 0.000 4.099
4.099 4.099 0.000
2.049 2.049 2.049
2.049 6.148 6.148
6.148 2.049 6.148
6.148 6.148 2.049
2.049 2.049 6.148
2.049 6.148 2.049
6.148 2.049 2.049
6.148 6.148 6.148
0.000 0.000 4.099
0.000 4.099 0.000
4.099 0.000 0.000
4.099 4.099 4.099
```

(3)
Diffraction record for Ca3La3DyS8. The powder diffractogram is calculated, not measured: it uses a crystal structure in Alexandria, relaxed with GGA-PBE and Cu Kα.
Kinematic intensities with the Lorentz-polarization factor, no thermal factor.

The 6 most intense peaks (15° ≤ 2θ ≤ 90°), by angle:
| two_theta | I/Imax |
| --- | --- |
| 25.49 | 35 |
| 26.67 | 28 |
| 30.95 | 100 |
| 44.20 | 35 |
| 44.47 | 35 |
| 54.93 | 18 |

Structural model:
```
Ca3La3DyS8
1.0
4.098 2.366 6.634
-4.098 2.366 6.634
0.000 -4.732 6.634
Ca La Dy S
3 3 1 8
Cartesian
-2.049 -1.183 6.634
-2.049 1.183 13.267
0.000 2.366 6.634
-4.098 0.000 9.950
-2.049 1.183 3.317
2.049 1.183 3.317
0.000 0.000 9.950
0.000 0.000 5.041
0.000 -2.247 8.340
-1.946 1.124 8.340
-1.946 -1.124 11.560
1.946 1.124 8.340
1.946 -1.124 11.560
0.000 2.247 11.560
0.000 0.000 14.860
```

(4)
Diffraction record for Ca4LaDy3Se8. The powder diffractogram is calculated, not measured: it uses a crystal structure in Alexandria, relaxed with GGA-PBE and Cu Kα.
Kinematic intensities with the Lorentz-polarization factor, no thermal factor.

The 6 most intense peaks (15° ≤ 2θ ≤ 90°), by angle:
| two_theta | I/Imax |
| --- | --- |
| 30.34 | 100 |
| 43.18 | 37 |
| 43.71 | 36 |
| 54.14 | 19 |
| 71.25 | 16 |
| 72.02 | 16 |

Structural model:
```
Ca4LaDy3Se8
1.0
4.142 2.391 6.884
-4.142 2.391 6.884
0.000 -4.782 6.884
Ca La Dy Se
4 1 3 8
Cartesian
0.000 0.000 0.000
-2.071 -1.196 6.884
-2.071 1.196 13.768
0.000 2.391 6.884
0.000 0.000 10.326
-4.142 0.000 10.326
-2.071 1.196 3.442
2.071 1.196 3.442
-2.126 -1.227 12.052
0.000 -2.454 8.601
-2.126 1.227 8.601
0.000 0.000 5.124
0.000 0.000 15.529
2.126 -1.227 12.052
0.000 2.454 12.052
2.126 1.227 8.601
```